Entry 1:
Starting from DFT lattice parameters and positions (PBE), the X-ray diffraction stick pattern of LaIr3 was simulated for Cu Kα X-rays.

Top 10 peaks for 5° ≤ 2θ ≤ 70°, in order of rising 2θ:
| two_theta | I (rel.) |
| --- | --- |
| 19.1 | 28 |
| 30.2 | 10 |
| 33.0 | 29 |
| 38.4 | 26 |
| 38.9 | 100 |
| 40.7 | 33 |
| 42.0 | 54 |
| 45.3 | 24 |
| 62.8 | 33 |
| 69.1 | 24 |

Structure:
a b c (Å): 9.4045 9.4045 9.4045
angles (deg): 33.60 33.60 33.60
Positions (direct):
La1 0.0000 0.0000 0.0000
La2 0.1398 0.1398 0.1398
La3 0.8602 0.8602 0.8602
Ir1 0.0855 0.5774 0.5774
Ir2 0.3315 0.3315 0.3315
Ir3 0.4226 0.4226 0.9145
Ir4 0.4226 0.9145 0.4226
Ir5 0.5000 0.5000 0.5000
Ir6 0.5774 0.0855 0.5774
Ir7 0.5774 0.5774 0.0855
Ir8 0.6685 0.6685 0.6685
Ir9 0.9145 0.4226 0.4226



Entry 2:
Starting from DFT lattice parameters and positions (PBE), the X-ray diffraction stick pattern of SrTh3 was simulated for Cu Kα X-rays.

Top 10 peaks for 5° ≤ 2θ ≤ 70°, in order of rising 2θ:
| two_theta | I (rel.) |
| --- | --- |
| 13.9 | 7 |
| 20.4 | 7 |
| 27.9 | 23 |
| 29.9 | 26 |
| 31.8 | 100 |
| 41.4 | 16 |
| 49.4 | 19 |
| 54.3 | 23 |
| 58.8 | 23 |
| 60.0 | 16 |

Structure:
a b c (Å): 7.3770 7.3770 5.9749
angles (deg): 90.00 90.00 120.00
Positions (direct):
Sr1 0.3333 0.6667 0.2500
Sr2 0.6667 0.3333 0.7500
Th1 0.1608 0.3216 0.7500
Th2 0.1608 0.8392 0.7500
Th3 0.3216 0.1608 0.2500
Th4 0.6784 0.8392 0.7500
Th5 0.8392 0.1608 0.2500
Th6 0.8392 0.6784 0.2500



Entry 3:
Starting from DFT lattice parameters and positions (PBE), the X-ray diffraction stick pattern of Cr3Pt was simulated for Cu Kα X-rays.

Top 6 peaks for 5° ≤ 2θ ≤ 70°, in order of rising 2θ:
| two_theta | I (rel.) |
| --- | --- |
| 27.0 | 72 |
| 38.5 | 46 |
| 43.3 | 24 |
| 47.6 | 100 |
| 55.6 | 11 |
| 62.8 | 15 |

Structure:
a b c (Å): 4.6771 4.6771 4.6771
angles (deg): 90.00 90.00 90.00
Positions (direct):
Cr1 0.0000 0.2500 0.5000
Cr2 0.0000 0.7500 0.5000
Cr3 0.2500 0.5000 0.0000
Cr4 0.5000 0.0000 0.2500
Cr5 0.5000 0.0000 0.7500
Cr6 0.7500 0.5000 0.0000
Pt1 0.0000 0.0000 0.0000
Pt2 0.5000 0.5000 0.5000



Entry 4:
Starting from DFT lattice parameters and positions (PBE), the X-ray diffraction stick pattern of SiO2 was simulated for Cu Kα X-rays.

Top 10 peaks for 5° ≤ 2θ ≤ 70°, in order of rising 2θ:
| two_theta | I (rel.) |
| --- | --- |
| 12.3 | 100 |
| 15.8 | 38 |
| 17.4 | 13 |
| 20.0 | 39 |
| 23.5 | 8 |
| 26.7 | 23 |
| 27.7 | 32 |
| 32.7 | 8 |
| 39.4 | 6 |
| 50.7 | 6 |

Structure:
a b c (Å): 7.1959 7.1959 8.8965
angles (deg): 90.00 90.00 90.00
Positions (direct):
Si1 0.0000 0.2818 0.1808
Si2 0.0000 0.2818 0.8192
Si3 0.0000 0.7182 0.1808
Si4 0.0000 0.7182 0.8192
Si5 0.2818 0.0000 0.3192
Si6 0.2818 0.0000 0.6808
Si7 0.7182 0.0000 0.3192
Si8 0.7182 0.0000 0.6808
O1 0.0000 0.2552 0.0000
O2 0.0000 0.5000 0.2247
O3 0.0000 0.5000 0.7753
O4 0.0000 0.7448 0.0000
O5 0.1859 0.1859 0.2500
O6 0.1859 0.1859 0.7500
O7 0.1859 0.8141 0.2500
O8 0.1859 0.8141 0.7500
O9 0.2552 0.0000 0.5000
O10 0.5000 0.0000 0.2753
O11 0.5000 0.0000 0.7247
O12 0.7448 0.0000 0.5000
O13 0.8141 0.1859 0.2500
O14 0.8141 0.1859 0.7500
O15 0.8141 0.8141 0.2500
O16 0.8141 0.8141 0.7500



Entry 5:
Starting from DFT lattice parameters and positions (PBE), the X-ray diffraction stick pattern of Ba2TbMgSbO6 was simulated for Cu Kα X-rays.

Top 10 peaks for 5° ≤ 2θ ≤ 70°, in order of rising 2θ:
| two_theta | I (rel.) |
| --- | --- |
| 18.7 | 52 |
| 24.5 | 26 |
| 28.0 | 48 |
| 28.5 | 100 |
| 36.0 | 28 |
| 39.8 | 28 |
| 46.6 | 19 |
| 50.2 | 20 |
| 50.5 | 21 |
| 59.1 | 18 |

Structure:
a b c (Å): 6.2554 6.2554 7.4852
angles (deg): 114.74 114.74 60.00
Positions (direct):
Ba1 0.0000 0.0000 0.0000
Ba2 0.5486 0.5486 0.6454
Tb1 0.8231 0.8231 0.4703
Mg1 0.2312 0.2312 0.6937
Sb1 0.3776 0.3776 0.1341
O1 0.0582 0.0582 0.7032
O2 0.0582 0.5867 0.7036
O3 0.1184 0.5825 0.2862
O4 0.5825 0.1184 0.2862
O5 0.5833 0.5833 0.2886
O6 0.5867 0.0582 0.7036



Entry 6:
Starting from DFT lattice parameters and positions (PBE), the X-ray diffraction stick pattern of Ca2NdF7 was simulated for Cu Kα X-rays.

Top 10 peaks for 5° ≤ 2θ ≤ 70°, in order of rising 2θ:
| two_theta | I (rel.) |
| --- | --- |
| 5.8 | 62 |
| 23.2 | 48 |
| 26.1 | 59 |
| 26.7 | 40 |
| 27.4 | 45 |
| 27.5 | 100 |
| 29.8 | 43 |
| 31.3 | 51 |
| 45.9 | 47 |
| 46.0 | 88 |

Structure:
a b c (Å): 3.9455 3.9455 30.7090
angles (deg): 90.70 90.70 60.13
Positions (direct):
Ca1 0.0000 0.0000 0.0000
Ca2 0.0313 0.0313 0.3133
Ca3 0.3502 0.3502 0.2106
Ca4 0.4002 0.4002 0.5215
Ca5 0.6647 0.6647 0.1031
Ca6 0.7191 0.7191 0.4172
Nd1 0.0172 0.0172 0.6448
Nd2 0.3315 0.3315 0.8919
Nd3 0.6672 0.6672 0.7691
F1 0.0020 0.0020 0.8069
F2 0.0110 0.0110 0.7252
F3 0.0188 0.0188 0.2342
F4 0.0484 0.0484 0.3889
F5 0.0693 0.0693 0.4932
F6 0.3293 0.3293 0.0750
F7 0.3334 0.3334 0.9709
F8 0.3349 0.3349 0.7748
F9 0.3500 0.3500 0.6827
F10 0.3615 0.3615 0.2854
F11 0.3718 0.3718 0.6007
F12 0.3899 0.3899 0.4399
F13 0.6656 0.6656 0.0235
F14 0.6656 0.6656 0.9289
F15 0.6683 0.6683 0.8483
F16 0.6770 0.6770 0.1820
F17 0.6859 0.6859 0.6469
F18 0.7014 0.7014 0.3372
F19 0.7366 0.7366 0.5432
F20 0.9983 0.9983 0.8994
F21 0.9994 0.9994 0.1250